[1]
Diffraction record for Pm7Tm12In. The powder X-ray diffraction pattern is computed, not measured: it uses a DFT-relaxed cell (PBE, Alexandria) and λ = 1.5418 Å (Cu Kα).
Peak positions follow from Bragg's law for the DFT cell and can differ from measured ones.

Cell and atoms:
Lattice parameters (Å, degrees): 8.658 8.673 8.704 89.37 88.78 89.39
Space group P-1 (No. 2)
Unique sites:
Pm  0.000  0.000  0.000 (multiplicity 1)
Pm  0.127  0.272  0.717 (multiplicity 2)
Pm  0.268  0.717  0.125 (multiplicity 2)
Pm  0.285  0.872  0.729 (multiplicity 2)
Tm  0.040  0.377  0.158 (multiplicity 2)
Tm  0.159  0.039  0.378 (multiplicity 2)
Tm  0.164  0.611  0.492 (multiplicity 2)
Tm  0.378  0.158  0.036 (multiplicity 2)
Tm  0.393  0.506  0.836 (multiplicity 2)
Tm  0.494  0.164  0.613 (multiplicity 2)
In  0.500  0.500  0.500 (multiplicity 1)

Most intense lines, 2θ = 15–90°, by angle:
- 30.49°, rel. 295, hkl 2 1 2
- 31.00°, rel. 787, hkl 2 -2 1
- 31.17°, rel. 1000, hkl 1 2 -2
- 32.41°, rel. 351, hkl 0 1 3
- 32.52°, rel. 577, hkl 1 3 0
- 32.77°, rel. 386, hkl 1 -3 0



[2]
Diffraction record for Pm8Tm5In. The powder X-ray diffraction pattern is computed, not measured: it uses a DFT-relaxed cell (PBE, Alexandria) and λ = 1.5418 Å (Cu Kα).
Peak positions follow from Bragg's law for the DFT cell and can differ from measured ones.

Cell and atoms:
Lattice parameters (Å, degrees): 15.434 8.367 8.420 90.00 121.56 90.00
Space group C2 (No. 5)
Unique sites:
Pm  0.123  0.000  0.180 (multiplicity 4)
Pm  0.177  0.596  0.223 (multiplicity 4)
Pm  0.181  0.294  0.915 (multiplicity 4)
Pm  0.183  0.774  0.574 (multiplicity 4)
Tm  0.000  0.042  0.500 (multiplicity 2)
Tm  0.047  0.700  0.773 (multiplicity 4)
Tm  0.099  0.371  0.453 (multiplicity 4)
In  0.000  0.343  0.000 (multiplicity 2)

Most intense lines, 2θ = 15–90°, by angle:
- 30.12°, rel. 302, hkl 2 2 -2
- 30.98°, rel. 530, hkl 1 1 2
- 31.23°, rel. 313, hkl 2 2 1
- 31.35°, rel. 555, hkl 5 1 -1
- 31.59°, rel. 435, hkl 4 2 -1
- 32.84°, rel. 1000, hkl 4 0 -3



[3]
Diffraction record for PmTm6In6. The powder X-ray diffraction pattern is computed, not measured: it uses a DFT-relaxed cell (PBE, Alexandria) and λ = 1.5418 Å (Cu Kα).
Peak positions follow from Bragg's law for the DFT cell and can differ from measured ones.

Cell and atoms:
Lattice parameters (Å, degrees): 6.1929 6.1929 10.6759 90.00 90.00 120.00
Space group P6/mmm (No. 191)
Unique sites:
Pm  0.0000  0.0000  0.0000 (multiplicity 1)
Tm  0.0000  0.0000  0.3428 (multiplicity 2)
Tm  0.3333  0.6667  0.0000 (multiplicity 2)
Tm  0.3333  0.6667  0.5000 (multiplicity 2)
In  0.0000  0.5000  0.2453 (multiplicity 6)

Most intense lines, 2θ = 15–90°, by angle:
- 28.83°, rel. 514, hkl 1 1 0
- 30.14°, rel. 272, hkl 1 0 3
- 33.44°, rel. 1000, hkl 1 1 2
- 37.53°, rel. 632, hkl 2 0 2
- 59.73°, rel. 266, hkl 2 2 0
- 59.96°, rel. 287, hkl 1 1 6



[4]
Diffraction record for Pm5Tm2In5. The powder X-ray diffraction pattern is computed, not measured: it uses a DFT-relaxed cell (PBE, Alexandria) and λ = 1.5418 Å (Cu Kα).
Peak positions follow from Bragg's law for the DFT cell and can differ from measured ones.

Cell and atoms:
Lattice parameters (Å, degrees): 11.763 5.227 12.108 90.00 110.01 90.00
Space group C2/m (No. 12)
Unique sites:
Pm  0.000  0.000  0.000 (multiplicity 2)
Pm  0.136  0.000  0.773 (multiplicity 4)
Pm  0.155  0.000  0.499 (multiplicity 4)
Tm  0.072  0.500  0.257 (multiplicity 4)
In  0.000  0.500  0.500 (multiplicity 2)
In  0.171  0.500  0.961 (multiplicity 4)
In  0.226  0.000  0.268 (multiplicity 4)

Most intense lines, 2θ = 15–90°, by angle:
- 31.45°, rel. 525, hkl 0 0 4
- 32.38°, rel. 1000, hkl 3 1 -3
- 32.83°, rel. 925, hkl 3 1 1
- 34.31°, rel. 584, hkl 0 2 0
- 47.23°, rel. 368, hkl 0 2 4
- 60.23°, rel. 167, hkl 3 3 -3



[5]
Diffraction record for Pm3Tm4In2. The powder X-ray diffraction pattern is computed, not measured: it uses a DFT-relaxed cell (PBE, Alexandria) and λ = 1.5418 Å (Cu Kα).
Peak positions follow from Bragg's law for the DFT cell and can differ from measured ones.

Cell and atoms:
Lattice parameters (Å, degrees): 15.096 4.935 7.595 90.00 108.80 90.00
Space group C2/m (No. 12)
Unique sites:
Pm  0.000  0.000  0.000 (multiplicity 2)
Pm  0.115  0.000  0.674 (multiplicity 4)
Tm  0.059  0.500  0.332 (multiplicity 4)
Tm  0.221  0.000  0.318 (multiplicity 4)
In  0.160  0.500  0.001 (multiplicity 4)

Most intense lines, 2θ = 15–90°, by angle:
- 31.41°, rel. 1000, hkl 3 1 1
- 31.62°, rel. 981, hkl 3 1 -2
- 35.69°, rel. 353, hkl 6 0 -1
- 36.41°, rel. 351, hkl 0 2 0
- 37.53°, rel. 305, hkl 0 0 3
- 51.90°, rel. 242, hkl 6 2 -1



[6]
Diffraction record for Pm3TmIn3. The powder X-ray diffraction pattern is computed, not measured: it uses a DFT-relaxed cell (PBE, Alexandria) and λ = 1.5418 Å (Cu Kα).
Peak positions follow from Bragg's law for the DFT cell and can differ from measured ones.

Cell and atoms:
Lattice parameters (Å, degrees): 9.455 9.455 9.455 90.00 90.00 90.00
Space group P2_13 (No. 198)
Unique sites:
Pm  0.068  0.432  0.568 (multiplicity 4)
Pm  0.167  0.833  0.333 (multiplicity 4)
Pm  0.179  0.179  0.179 (multiplicity 4)
Tm  0.078  0.578  0.922 (multiplicity 4)
In  0.008  0.256  0.867 (multiplicity 12)

Most intense lines, 2θ = 15–90°, by angle:
- 29.88°, rel. 1000, hkl 3 0 1
- 35.53°, rel. 747, hkl 3 1 2
- 47.09°, rel. 200, hkl 4 2 2
- 49.13°, rel. 215, hkl 4 3 1
- 60.35°, rel. 254, hkl 6 1 1
- 63.80°, rel. 151, hkl 5 4 1



[7]
Diffraction record for Pm3Tm5In2. The powder X-ray diffraction pattern is computed, not measured: it uses a DFT-relaxed cell (PBE, Alexandria) and λ = 1.5418 Å (Cu Kα).
Peak positions follow from Bragg's law for the DFT cell and can differ from measured ones.

Cell and atoms:
Lattice parameters (Å, degrees): 12.743 15.576 6.354 90.00 90.00 90.00
Space group Ibam (No. 72)
Unique sites:
Pm  0.000  0.000  0.250 (multiplicity 4)
Pm  0.116  0.237  0.000 (multiplicity 8)
Tm  0.000  0.500  0.250 (multiplicity 4)
Tm  0.123  0.337  0.500 (multiplicity 8)
Tm  0.246  0.500  0.250 (multiplicity 8)
In  0.139  0.148  0.500 (multiplicity 8)

Most intense lines, 2θ = 15–90°, by angle:
- 30.35°, rel. 1000, hkl 0 2 2
- 35.04°, rel. 335, hkl 2 5 1
- 36.47°, rel. 269, hkl 0 4 2
- 40.08°, rel. 395, hkl 4 0 2
- 54.28°, rel. 181, hkl 2 5 3
- 66.90°, rel. 171, hkl 0 10 2



[8]
Diffraction record for Pm4Tm3In2. The powder X-ray diffraction pattern is computed, not measured: it uses a DFT-relaxed cell (PBE, Alexandria) and λ = 1.5418 Å (Cu Kα).
Peak positions follow from Bragg's law for the DFT cell and can differ from measured ones.

Cell and atoms:
Lattice parameters (Å, degrees): 5.361 6.729 8.548 103.23 90.08 113.46
Space group P-1 (No. 2)
Unique sites:
Pm  0.115  0.230  0.157 (multiplicity 2)
Pm  0.332  0.663  0.534 (multiplicity 2)
Tm  0.000  0.000  0.500 (multiplicity 1)
Tm  0.420  0.840  0.145 (multiplicity 2)
In  0.205  0.412  0.817 (multiplicity 2)

Most intense lines, 2θ = 15–90°, by angle:
- 31.74°, rel. 1000, hkl 1 1 -2
- 31.96°, rel. 924, hkl 1 1 1
- 32.45°, rel. 430, hkl 0 0 3
- 33.43°, rel. 466, hkl 2 -1 0
- 44.01°, rel. 172, hkl 0 3 -1
- 56.37°, rel. 168, hkl 2 2 -1



[9]
Diffraction record for Pm5Y6In. The powder X-ray diffraction pattern is computed, not measured: it uses a DFT-relaxed cell (PBE, Alexandria) and λ = 1.5418 Å (Cu Kα).
Peak positions follow from Bragg's law for the DFT cell and can differ from measured ones.

Cell and atoms:
Lattice parameters (Å, degrees): 5.023 10.095 15.160 90.00 90.00 90.00
Space group Immm (No. 71)
Unique sites:
Pm  0.000  0.000  0.000 (multiplicity 2)
Pm  0.000  0.000  0.331 (multiplicity 4)
Pm  0.000  0.500  0.338 (multiplicity 4)
Y  0.000  0.240  0.500 (multiplicity 4)
Y  0.000  0.256  0.165 (multiplicity 8)
In  0.000  0.500  0.000 (multiplicity 2)

Most intense lines, 2θ = 15–90°, by angle:
- 30.72°, rel. 1000, hkl 1 2 3
- 35.55°, rel. 335, hkl 0 0 6
- 35.76°, rel. 167, hkl 2 0 0
- 51.31°, rel. 232, hkl 2 0 6
- 60.86°, rel. 270, hkl 1 2 9
- 61.14°, rel. 138, hkl 3 2 3



[10]
Diffraction record for Pm2Y2In3. The powder X-ray diffraction pattern is computed, not measured: it uses a DFT-relaxed cell (PBE, Alexandria) and λ = 1.5418 Å (Cu Kα).
Peak positions follow from Bragg's law for the DFT cell and can differ from measured ones.

Cell and atoms:
Lattice parameters (Å, degrees): 4.505 25.494 3.519 90.00 90.00 90.00
Space group Cmmm (No. 65)
Unique sites:
Pm  0.000  0.070  0.000 (multiplicity 4)
Y  0.000  0.200  0.000 (multiplicity 4)
In  0.000  0.358  0.500 (multiplicity 4)
In  0.000  0.500  0.500 (multiplicity 2)

Most intense lines, 2θ = 15–90°, by angle:
- 31.59°, rel. 985, hkl 1 7 0
- 32.48°, rel. 1000, hkl 1 1 1
- 33.05°, rel. 294, hkl 0 6 1
- 38.10°, rel. 447, hkl 0 8 1
- 40.03°, rel. 279, hkl 2 0 0
- 56.45°, rel. 279, hkl 2 8 1



[11]
Diffraction record for Pm3Y3In2. The powder X-ray diffraction pattern is computed, not measured: it uses a DFT-relaxed cell (PBE, Alexandria) and λ = 1.5418 Å (Cu Kα).
Peak positions follow from Bragg's law for the DFT cell and can differ from measured ones.

Cell and atoms:
Lattice parameters (Å, degrees): 4.901 4.960 9.752 90.00 90.00 90.00
Space group Pmmm (No. 47)
Unique sites:
Pm  0.000  0.000  0.000 (multiplicity 1)
Pm  0.500  0.000  0.248 (multiplicity 2)
Y  0.000  0.000  0.500 (multiplicity 1)
Y  0.500  0.500  0.000 (multiplicity 1)
Y  0.500  0.500  0.500 (multiplicity 1)
In  0.000  0.500  0.254 (multiplicity 2)

Most intense lines, 2θ = 15–90°, by angle:
- 31.55°, rel. 1000, hkl 1 1 2
- 36.22°, rel. 172, hkl 0 2 0
- 36.67°, rel. 166, hkl 2 0 0
- 36.87°, rel. 163, hkl 0 0 4
- 62.25°, rel. 138, hkl 1 3 2
- 62.85°, rel. 134, hkl 3 1 2



[12]
Diffraction record for Pm5Y3In. The powder X-ray diffraction pattern is computed, not measured: it uses a DFT-relaxed cell (PBE, Alexandria) and λ = 1.5418 Å (Cu Kα).
Peak positions follow from Bragg's law for the DFT cell and can differ from measured ones.

Cell and atoms:
Lattice parameters (Å, degrees): 13.762 7.957 11.507 90.00 96.04 90.00
Space group C2/m (No. 12)
Unique sites:
Pm  0.000  0.169  0.000 (multiplicity 4)
Pm  0.009  0.000  0.372 (multiplicity 4)
Pm  0.124  0.285  0.755 (multiplicity 8)
Pm  0.239  0.500  0.038 (multiplicity 4)
Y  0.000  0.500  0.000 (multiplicity 2)
Y  0.000  0.500  0.500 (multiplicity 2)
Y  0.168  0.000  0.218 (multiplicity 4)
Y  0.241  0.000  0.529 (multiplicity 4)
In  0.095  0.500  0.258 (multiplicity 4)

Most intense lines, 2θ = 15–90°, by angle:
- 27.32°, rel. 369, hkl 1 1 3
- 27.47°, rel. 1000, hkl 2 2 1
- 28.96°, rel. 500, hkl 4 0 -2
- 31.04°, rel. 433, hkl 3 1 -3
- 31.86°, rel. 623, hkl 4 0 2
- 34.60°, rel. 420, hkl 4 2 0